Starting from DFT lattice parameters and positions (PBE), the XRD peak list of Si3Se was simulated for Cu Kα, 1.54184 Å.
Kinematic intensities with the Lorentz-polarization factor, no thermal factor.

Peak list (8 most intense, 2θ from 5° to 70°, in order of falling intensity)
- 2θ 39.76, rel. 100
- 2θ 24.04, rel. 24
- 2θ 57.49, rel. 16
- 2θ 27.83, rel. 12
- 2θ 47.00, rel. 12
- 2θ 63.21, rel. 5
- 2θ 65.06, rel. 4
- 2θ 49.23, rel. 3

Crystal structure
Unit cell a=4.5338 b=4.5338 c=4.5338 alpha=60.00 beta=60.00 gamma=60.00
Sites, in units of the cell vectors:
Si1 0.0000 0.0000 0.0000
Si2 0.2500 0.2500 0.2500
Si3 0.7500 0.7500 0.7500
Se1 0.5000 0.5000 0.5000